[1]
K2In3AgSe6: computed powder XRD pattern (Cu Ka), based on the GGA-PBE geometry in OQMD.

Top 10 peaks for 2θ = 15–90°, in order of rising 2θ:
- d 3.777, intensity 91
- d 3.159, intensity 100
- d 3.022, intensity 9
- d 2.140, intensity 57
- d 2.134, intensity 18
- d 2.101, intensity 42
- d 1.837, intensity 22
- d 1.750, intensity 20
- d 1.485, intensity 11
- d 1.221, intensity 9

Cell and atoms:
abc: 8.4026 8.4026 21.7738
angles: 95.68 95.68 90.07
Element x y z (fractional)
K: 0.1077 0.7046 0.9173
K: 0.2461 0.3951 0.5827
K: 0.2954 0.8923 0.5827
K: 0.3951 0.2461 0.0827
K: 0.6049 0.7539 0.9173
K: 0.7046 0.1077 0.4173
K: 0.7539 0.6049 0.4173
K: 0.8923 0.2954 0.0827
In: 0.0596 0.9404 0.7500
In: 0.1511 0.7769 0.1116
In: 0.2208 0.3486 0.3877
In: 0.2231 0.8489 0.3884
In: 0.3486 0.2208 0.8877
In: 0.4338 0.5662 0.2500
In: 0.5662 0.4338 0.7500
In: 0.6514 0.7792 0.1123
In: 0.7769 0.1511 0.6116
In: 0.7792 0.6514 0.6123
In: 0.8489 0.2231 0.8884
In: 0.9404 0.0596 0.2500
Ag: 0.0623 0.4358 0.7500
Ag: 0.4358 0.0623 0.2500
Ag: 0.5642 0.9377 0.7500
Ag: 0.9377 0.5642 0.2500
Se: 0.0612 0.1628 0.6745
Se: 0.0625 0.6752 0.6752
Se: 0.1182 0.2883 0.9599
Se: 0.1628 0.0612 0.1745
Se: 0.1719 0.5257 0.1746
Se: 0.1916 0.6174 0.4597
Se: 0.2883 0.1182 0.4599
Se: 0.3248 0.9375 0.8248
Se: 0.3401 0.4725 0.8251
Se: 0.3826 0.8084 0.0403
Se: 0.4725 0.3401 0.3251
Se: 0.4743 0.8281 0.3254
Se: 0.5257 0.1719 0.6746
Se: 0.5275 0.6599 0.6749
Se: 0.6174 0.1916 0.9597
Se: 0.6599 0.5275 0.1749
Se: 0.6752 0.0625 0.1752
Se: 0.7117 0.8818 0.5401
Se: 0.8084 0.3826 0.5403
Se: 0.8281 0.4743 0.8254
Se: 0.8372 0.9388 0.8255
Se: 0.8818 0.7117 0.0401
Se: 0.9375 0.3248 0.3248
Se: 0.9388 0.8372 0.3255

---

[2]
GePt15: computed powder XRD pattern (Cu Ka), based on the GGA-PBE geometry in OQMD.

Top 10 peaks for 2θ = 15–90°, in order of rising 2θ:
- d 2.423, intensity 30
- d 2.302, intensity 67
- d 2.261, intensity 100
- d 2.054, intensity 19
- d 1.979, intensity 44
- d 1.970, intensity 33
- d 1.396, intensity 28
- d 1.201, intensity 19
- d 1.186, intensity 13
- d 1.184, intensity 17

Cell and atoms:
abc: 4.8131 36.8544 4.8141
angles: 90.00 109.95 90.00
Element x y z (fractional)
Ge: 0.0000 0.2136 0.2500
Ge: 0.0000 0.7864 0.7500
Pt: 0.0000 0.2446 0.7500
Pt: 0.0000 0.2867 0.2500
Pt: 0.0000 0.3253 0.7500
Pt: 0.0000 0.3645 0.2500
Pt: 0.0000 0.4032 0.7500
Pt: 0.0000 0.4421 0.2500
Pt: 0.0000 0.4806 0.7500
Pt: 0.0000 0.5194 0.2500
Pt: 0.0000 0.5579 0.7500
Pt: 0.0000 0.5968 0.2500
Pt: 0.0000 0.6355 0.7500
Pt: 0.0000 0.6747 0.2500
Pt: 0.0000 0.7133 0.7500
Pt: 0.0000 0.7554 0.2500
Pt: 0.5000 0.2109 0.7500
Pt: 0.5000 0.2446 0.2500
Pt: 0.5000 0.2866 0.7500
Pt: 0.5000 0.3252 0.2500
Pt: 0.5000 0.3643 0.7500
Pt: 0.5000 0.4032 0.2500
Pt: 0.5000 0.4418 0.7500
Pt: 0.5000 0.4807 0.2500
Pt: 0.5000 0.5193 0.7500
Pt: 0.5000 0.5582 0.2500
Pt: 0.5000 0.5968 0.7500
Pt: 0.5000 0.6357 0.2500
Pt: 0.5000 0.6748 0.7500
Pt: 0.5000 0.7134 0.2500
Pt: 0.5000 0.7554 0.7500
Pt: 0.5000 0.7891 0.2500

---

[3]
Ta5W7: computed powder XRD pattern (Cu Ka), based on the GGA-PBE geometry in OQMD.

Top 10 peaks for 2θ = 15–90°, in order of rising 2θ:
- d 2.650, intensity 26
- d 2.448, intensity 45
- d 2.262, intensity 100
- d 2.219, intensity 60
- d 2.182, intensity 18
- d 2.171, intensity 22
- d 2.133, intensity 22
- d 1.443, intensity 25
- d 1.385, intensity 24
- d 1.325, intensity 27

Cell and atoms:
abc: 5.3002 5.3002 17.3651
angles: 90.00 90.00 120.00
Element x y z (fractional)
Ta: 0.0000 0.5000 0.0000
Ta: 0.0000 0.5000 0.5000
Ta: 0.3333 0.6667 0.1261
Ta: 0.3333 0.6667 0.3739
Ta: 0.5000 0.0000 0.0000
Ta: 0.5000 0.0000 0.5000
Ta: 0.5000 0.5000 0.0000
Ta: 0.5000 0.5000 0.5000
Ta: 0.6667 0.3333 0.6261
Ta: 0.6667 0.3333 0.8739
W: 0.0000 0.0000 0.1011
W: 0.0000 0.0000 0.3989
W: 0.0000 0.0000 0.6011
W: 0.0000 0.0000 0.8989
W: 0.1624 0.3249 0.2500
W: 0.1624 0.8376 0.2500
W: 0.3249 0.1624 0.7500
W: 0.3333 0.6667 0.6593
W: 0.3333 0.6667 0.8407
W: 0.6667 0.3333 0.1593
W: 0.6667 0.3333 0.3407
W: 0.6751 0.8376 0.2500
W: 0.8376 0.1624 0.7500
W: 0.8376 0.6751 0.7500

---

[4]
ErLuTlB: computed powder XRD pattern (Cu Ka), based on the GGA-PBE geometry in OQMD.

Top 10 peaks for 2θ = 15–90°, in order of rising 2θ:
- d 3.108, intensity 23
- d 2.778, intensity 22
- d 2.713, intensity 100
- d 2.071, intensity 16
- d 1.795, intensity 21
- d 1.591, intensity 18
- d 1.507, intensity 21
- d 1.497, intensity 17
- d 1.190, intensity 8
- d 1.149, intensity 14

Cell and atoms:
abc: 3.5892 3.5892 16.6657
angles: 90.00 90.00 120.00
Element x y z (fractional)
Er: 0.0000 0.0000 0.1603
Er: 0.0000 0.0000 0.8397
Lu: 0.3333 0.6667 0.3423
Lu: 0.3333 0.6667 0.6577
Tl: 0.0000 0.0000 0.5000
Tl: 0.3333 0.6667 0.0000
B: 0.6667 0.3333 0.2520
B: 0.6667 0.3333 0.7480

---

[5]
PrScGa: computed powder XRD pattern (Cu Ka), based on the GGA-PBE geometry in OQMD.

Top 10 peaks for 2θ = 15–90°, in order of rising 2θ:
- d 3.960, intensity 24
- d 3.429, intensity 54
- d 2.425, intensity 100
- d 2.068, intensity 12
- d 1.980, intensity 16
- d 1.715, intensity 17
- d 1.534, intensity 21
- d 1.400, intensity 34
- d 1.212, intensity 10
- d 1.143, intensity 10

Cell and atoms:
abc: 4.8498 4.8498 4.8498
angles: 60.00 60.00 60.00
Element x y z (fractional)
Pr: 0.0000 0.0000 0.0000
Sc: 0.7500 0.7500 0.7500
Ga: 0.5000 0.5000 0.5000

---

[6]
Li3Pr2SmPb3: computed powder XRD pattern (Cu Ka), based on the GGA-PBE geometry in OQMD.

Top 10 peaks for 2θ = 15–90°, in order of rising 2θ:
- d 3.953, intensity 47
- d 3.391, intensity 32
- d 2.826, intensity 100
- d 2.433, intensity 64
- d 2.365, intensity 13
- d 1.844, intensity 29
- d 1.500, intensity 29
- d 1.469, intensity 28
- d 1.216, intensity 15
- d 1.117, intensity 12

Cell and atoms:
abc: 4.8651 4.8651 11.4297
angles: 90.00 90.00 120.00
Element x y z (fractional)
Li: 0.0000 0.0000 0.0000
Li: 0.6667 0.3333 0.3150
Li: 0.6667 0.3333 0.6850
Pr: 0.3333 0.6667 0.1661
Pr: 0.3333 0.6667 0.8339
Sm: 0.3333 0.6667 0.5000
Pb: 0.0000 0.0000 0.3330
Pb: 0.0000 0.0000 0.6670
Pb: 0.6667 0.3333 0.0000